[1]
Structure and calculated PXRD pattern of Nb3NiP6O24 (a cell relaxed with GGA+U; λ = 1.5418 Å (Cu Kα)).
Neutral-atom scattering factors, no anomalous dispersion.

Structural model:
```
data_Nb3NiP6O24
_chemical_formula_sum 'Nb9 Ni3 P18 O72'
_space_group_name_H-M_alt 'R 3'
_space_group_IT_number 146
_space_group_name_Hall 'R 3'
_cell_length_a 8.8036
_cell_length_b 8.8036
_cell_length_c 22.3142
_cell_angle_alpha 90.00
_cell_angle_beta 90.00
_cell_angle_gamma 120.00
loop_
_atom_site_label
_atom_site_fract_x
_atom_site_fract_y
_atom_site_fract_z
Nb1 0.0000 0.0000 0.0000
Nb2 0.0000 0.0000 0.2181
Nb3 0.0000 0.0000 0.7184
Ni1 0.0000 0.0000 0.5016
P1 0.0011 0.2803 0.6067
P2 0.0077 0.7165 0.1093
O1 0.0211 0.8274 0.0532
O2 0.0285 0.1990 0.2679
O3 0.0298 0.8298 0.7677
O4 0.0315 0.2046 0.5510
O5 0.1602 0.4687 0.6176
O6 0.1625 0.6925 0.8314
O7 0.1625 0.4705 0.3313
O8 0.1663 0.6954 0.1139
```

Principal peaks in the range 2θ from 15° to 90°, sorted by position:
two_theta, I/Imax, index
19.7, 100, 1 0 4
20.2, 65, 1 1 0
23.5, 80, 1 1 3
28.4, 66, 0 2 4
31.5, 42, 2 -1 6
35.0, 27, 3 -1 4
35.3, 25, 3 0 0
51.8, 25, 2 1 10

[2]
Structure and calculated PXRD pattern of NbNi5P6O24 (a cell relaxed with GGA+U; λ = 1.5418 Å (Cu Kα)).
Neutral-atom scattering factors, no anomalous dispersion.

Structural model:
```
data_NbNi5P6O24
_chemical_formula_sum 'Nb3 Ni15 P18 O72'
_space_group_name_H-M_alt 'R 3'
_space_group_IT_number 146
_space_group_name_Hall 'R 3'
_cell_length_a 8.6790
_cell_length_b 8.6790
_cell_length_c 20.7221
_cell_angle_alpha 90.00
_cell_angle_beta 90.00
_cell_angle_gamma 120.00
loop_
_atom_site_label
_atom_site_fract_x
_atom_site_fract_y
_atom_site_fract_z
Nb1 0.0000 0.0000 0.0000
Ni1 0.0000 0.0000 0.2146
Ni2 0.0000 0.0000 0.3564
Ni3 0.0000 0.0000 0.4973
Ni4 0.0000 0.0000 0.7127
Ni5 0.0000 0.0000 0.8520
P1 0.0002 0.3012 0.1093
P2 0.0422 0.6734 0.2721
O1 0.0034 0.8017 0.6673
O2 0.0079 0.2058 0.1693
O3 0.0121 0.1788 0.7820
O4 0.0156 0.8352 0.2824
O5 0.1363 0.6741 0.2107
O6 0.1513 0.4694 0.7153
O7 0.1630 0.6759 0.5989
O8 0.1655 0.4822 0.0948
```

Principal peaks in the range 2θ from 15° to 90°, sorted by position:
two_theta, I/Imax, index
20.5, 100, 1 1 0
24.2, 79, 2 -1 3
33.2, 68, 1 1 6
35.8, 44, 3 0 0
47.5, 33, 1 2 8
49.6, 26, 4 -2 6
56.1, 26, 4 1 0
62.7, 21, 1 4 6

[3]
Structure and calculated PXRD pattern of NbNi3P4O16 (a cell relaxed with GGA+U; λ = 1.5418 Å (Cu Kα)).
Neutral-atom scattering factors, no anomalous dispersion.

Structural model:
```
data_NbNi3P4O16
_chemical_formula_sum 'Nb1 Ni3 P4 O16'
_space_group_name_H-M_alt 'P 1 m 1'
_space_group_IT_number 6
_cell_length_a 4.9116
_cell_length_b 5.8961
_cell_length_c 10.0058
_cell_angle_alpha 90.00
_cell_angle_beta 90.75
_cell_angle_gamma 90.00
loop_
_space_group_symop_operation_xyz
'x,y,z'
'x,-y,z'
loop_
_atom_site_label
_atom_site_fract_x
_atom_site_fract_y
_atom_site_fract_z
Nb1 0.0000 0.0000 0.0000
Ni1 0.4304 0.0000 0.5069
Ni2 0.5151 0.5000 0.0540
Ni3 0.9421 0.5000 0.5457
P1 0.0427 0.5000 0.8669
P2 0.3794 0.5000 0.3741
P3 0.5775 0.0000 0.1887
P4 0.8893 0.0000 0.6689
O1 0.1367 0.5000 0.7252
O2 0.1851 0.2936 0.9498
O3 0.1950 0.0000 0.6665
O4 0.2367 0.2953 0.4450
O5 0.2723 0.0000 0.1488
O6 0.3165 0.5000 0.2229
O7 0.6361 0.0000 0.3339
O8 0.6908 0.5000 0.3886
O9 0.7231 0.1988 0.1077
O10 0.7384 0.2061 0.6071
O11 0.7402 0.5000 0.8915
O12 0.8250 0.0000 0.8291
```

Principal peaks in the range 2θ from 15° to 90°, sorted by position:
two_theta, I/Imax, index
17.7, 100, 0 0 2
20.0, 42, 1 0 -1
20.2, 49, 1 0 1
25.1, 63, 1 1 -1
25.3, 77, 1 1 1
30.3, 85, 0 2 0
35.8, 65, 1 1 -3
36.1, 60, 1 1 3

[4]
Structure and calculated PXRD pattern of Ti3NbNi2P6O24 (a cell relaxed with GGA+U; λ = 1.5418 Å (Cu Kα)).
Neutral-atom scattering factors, no anomalous dispersion.

Structural model:
```
data_Ti3NbNi2P6O24
_chemical_formula_sum 'Ti9 Nb3 Ni6 P18 O72'
_space_group_name_H-M_alt 'R 3'
_space_group_IT_number 146
_space_group_name_Hall 'R 3'
_cell_length_a 8.7202
_cell_length_b 8.7202
_cell_length_c 21.0318
_cell_angle_alpha 90.00
_cell_angle_beta 90.00
_cell_angle_gamma 120.00
loop_
_atom_site_label
_atom_site_fract_x
_atom_site_fract_y
_atom_site_fract_z
Ti1 0.0000 0.0000 0.0000
Ti2 0.0000 0.0000 0.2129
Ti3 0.0000 0.0000 0.7091
Nb1 0.0000 0.0000 0.4956
Ni1 0.0000 0.0000 0.3535
Ni2 0.0000 0.0000 0.8551
P1 0.0022 0.2983 0.6045
P2 0.0470 0.6755 0.7731
O1 0.9997 0.8093 0.1659
O2 0.0065 0.1957 0.6635
O3 0.0159 0.1860 0.2752
O4 0.0241 0.8413 0.7791
O5 0.1389 0.4706 0.2108
O6 0.1472 0.6788 0.7124
O7 0.1574 0.6829 0.1012
O8 0.1709 0.4844 0.5978
```

Principal peaks in the range 2θ from 15° to 90°, sorted by position:
two_theta, I/Imax, index
20.4, 92, 1 1 0
24.0, 100, 2 -1 3
32.8, 74, 2 -1 6
35.7, 39, 3 0 0
47.0, 34, 3 -2 8
49.2, 28, 4 -2 6
55.8, 27, 1 4 0
62.3, 19, 5 -1 6

[5]
Structure and calculated PXRD pattern of Ti3NbV2P6O24 (a cell relaxed with GGA+U; λ = 1.5418 Å (Cu Kα)).
Neutral-atom scattering factors, no anomalous dispersion.

Structural model:
```
data_Ti3NbV2P6O24
_chemical_formula_sum 'Ti9 Nb3 V6 P18 O72'
_space_group_name_H-M_alt 'R 3'
_space_group_IT_number 146
_space_group_name_Hall 'R 3'
_cell_length_a 8.7676
_cell_length_b 8.7676
_cell_length_c 20.9317
_cell_angle_alpha 90.00
_cell_angle_beta 90.00
_cell_angle_gamma 120.00
loop_
_atom_site_label
_atom_site_fract_x
_atom_site_fract_y
_atom_site_fract_z
Ti1 0.0000 0.0000 0.0000
Ti2 0.0000 0.0000 0.2123
Ti3 0.0000 0.0000 0.5015
Nb1 0.0000 0.0000 0.7144
V1 0.0000 0.0000 0.3564
V2 0.0000 0.0000 0.8556
P1 0.0008 0.2976 0.6056
P2 0.0075 0.7136 0.1064
O1 0.0091 0.2060 0.6676
O2 0.0153 0.1834 0.2794
O3 0.0148 0.8166 0.1664
O4 0.0176 0.8258 0.7806
O5 0.1418 0.6692 0.7123
O6 0.1436 0.4706 0.2136
O7 0.1667 0.4835 0.5985
O8 0.1712 0.6897 0.0999
```

Principal peaks in the range 2θ from 15° to 90°, sorted by position:
two_theta, I/Imax, index
20.3, 76, 1 1 0
24.0, 100, 1 1 3
32.8, 63, 2 -1 6
35.5, 35, 3 0 0
47.0, 29, 1 2 8
49.1, 24, 4 -2 6
55.5, 23, 4 1 0
62.0, 17, 5 -1 6

[6]
Structure and calculated PXRD pattern of NbV3P6O24 (a cell relaxed with GGA+U; λ = 1.5418 Å (Cu Kα)).
Neutral-atom scattering factors, no anomalous dispersion.

Structural model:
```
data_NbV3P6O24
_chemical_formula_sum 'Nb3 V9 P18 O72'
_space_group_name_H-M_alt 'R 3'
_space_group_IT_number 146
_space_group_name_Hall 'R 3'
_cell_length_a 8.6215
_cell_length_b 8.6215
_cell_length_c 21.7833
_cell_angle_alpha 90.00
_cell_angle_beta 90.00
_cell_angle_gamma 120.00
loop_
_atom_site_label
_atom_site_fract_x
_atom_site_fract_y
_atom_site_fract_z
Nb1 0.0000 0.0000 0.0000
V1 0.0000 0.0000 0.2181
V2 0.0000 0.0000 0.5012
V3 0.0000 0.0000 0.7184
P1 0.0462 0.3780 0.7789
P2 0.0579 0.6747 0.2764
O1 0.0242 0.1920 0.7706
O2 0.0238 0.8339 0.5524
O3 0.0317 0.2027 0.0544
O4 0.0325 0.8368 0.2695
O5 0.1607 0.4667 0.8356
O6 0.1624 0.6984 0.6158
O7 0.1646 0.6960 0.3349
O8 0.1679 0.4759 0.1196
```

Principal peaks in the range 2θ from 15° to 90°, sorted by position:
two_theta, I/Imax, index
20.2, 71, 1 0 4
20.6, 36, 1 1 0
24.0, 100, 2 -1 3
29.0, 52, 0 2 4
32.0, 16, 3 -1 1
32.2, 33, 1 1 6
36.1, 16, 3 0 0
53.1, 21, 2 1 10